(1)
This entry pairs a crystal structure of SmErFe4 with its calculated powder X-ray diffraction pattern. Radiation: Cu Kα (λ = 1.5418 Å). Structure: a structure optimized by DFT (GGA-PBE).
Kinematic intensities with the Lorentz-polarization factor, no thermal factor.

```
data_SmErFe4
_cell_length_a 7.3171
_cell_length_b 7.3171
_cell_length_c 7.3171
_cell_angle_alpha 90.00
_cell_angle_beta 90.00
_cell_angle_gamma 90.00
_space_group_name_H-M_alt 'F -4 3 m'
_space_group_IT_number 216
_space_group_name_Hall 'F -4 2 3'
loop_
_atom_site_label
_atom_site_type_symbol
_atom_site_fract_x
_atom_site_fract_y
_atom_site_fract_z
_atom_site_occupancy
Sm1 Sm 0.0000 0.0000 0.0000 1
Er1 Er 0.2500 0.2500 0.7500 1
Fe1 Fe 0.1249 0.1249 0.3751 1
```

The 10 most intense peaks (2θ = 10–80°), in order of falling intensity:
2θ/deg  I_rel
40.91  100
34.67  68
66.39  31
62.15  25
73.17  22
21.03  17
42.81  14
54.68  5
77.12  4
49.85  1

***

(2)
This entry pairs a crystal structure of SmErTi2Fe22 with its calculated powder X-ray diffraction pattern. Radiation: Cu Kα (λ = 1.5418 Å). Structure: a structure optimized by DFT (GGA-PBE).
Kinematic intensities with the Lorentz-polarization factor, no thermal factor.

```
data_SmErTi2Fe22
_cell_length_a 12.0271
_cell_length_b 4.7057
_cell_length_c 12.0236
_cell_angle_alpha 90.00
_cell_angle_beta 90.05
_cell_angle_gamma 90.00
_space_group_name_H-M_alt 'C 1 m 1'
_space_group_IT_number 8
_space_group_name_Hall 'C -2y'
loop_
_atom_site_label
_atom_site_type_symbol
_atom_site_fract_x
_atom_site_fract_y
_atom_site_fract_z
_atom_site_occupancy
Sm1 Sm 0.0000 0.0000 0.0000 1
Er1 Er 0.0002 0.5000 0.4988 1
Ti1 Ti 0.3131 0.0000 0.6848 1
Ti2 Ti 0.3134 0.5000 0.1875 1
Fe1 Fe 0.1068 0.0000 0.6110 1
Fe2 Fe 0.1086 0.5000 0.1158 1
Fe3 Fe 0.1124 0.0000 0.3872 1
Fe4 Fe 0.1137 0.5000 0.8852 1
Fe5 Fe 0.1739 0.5000 0.3257 1
Fe6 Fe 0.1745 0.0000 0.8246 1
Fe7 Fe 0.1761 0.0000 0.1817 1
Fe8 Fe 0.1757 0.5000 0.6784 1
Fe9 Fe 0.2469 0.2494 0.0019 1
Fe10 Fe 0.2474 0.2505 0.5001 1
Fe11 Fe 0.3187 0.5000 0.8230 1
Fe12 Fe 0.3197 0.0000 0.3241 1
Fe13 Fe 0.3836 0.0000 0.1171 1
Fe14 Fe 0.3849 0.0000 0.8906 1
Fe15 Fe 0.3852 0.5000 0.6130 1
Fe16 Fe 0.3874 0.5000 0.3928 1
Fe17 Fe 0.4984 0.2491 0.2537 1
Fe18 Fe 0.4984 0.2500 0.7506 1
```

The 10 most intense peaks (2θ = 10–80°), in order of falling intensity:
2θ/deg  I_rel
42.89  100
43.98  69
42.52  61
37.03  45
30.22  41
49.17  24
72.35  20
78.08  19
78.85  18
38.25  16